Ac3La8Y: theoretical X-ray diffraction stick pattern (CuKα), based on a crystal structure in Alexandria, relaxed with GGA-PBE.
No peak broadening, texture or thermal motion is included.

Structure:
Lattice parameters (Å, degrees): 9.0870 9.0870 9.0870 135.47 98.60 97.91
Positions (direct):
1 Ac 0.0000 0.0000 0.0000
2 Ac 0.2577 0.5000 0.7577
3 Ac 0.7423 0.5000 0.2423
4 La 0.0821 0.8270 0.2551
5 La 0.2747 0.0529 0.7782
6 La 0.2747 0.4965 0.2218
7 La 0.4281 0.1730 0.2551
8 La 0.5719 0.8270 0.7449
9 La 0.7253 0.5035 0.7782
10 La 0.7253 0.9471 0.2218
11 La 0.9179 0.1730 0.7449
12 Y 0.5000 0.0000 0.5000

The 8 most intense peaks (2θ from 15° to 90°), in order of rising 2θ:
2θ/deg  Rel. int.
21.1  21
25.9  16
30.0  100
30.2  26
43.0  17
48.3  17
53.5  15
62.4  16